Record 1
# AcPr2Rh2
Computed X-ray diffraction stick pattern, CuKα. Input: a cell relaxed with PBE.
Peak positions follow from Bragg's law for the DFT cell and can differ from measured ones.

The 12 most intense peaks (2θ from 10° to 80°), in order of rising 2θ:
2θ = 27.52°, I 18; 2θ = 28.68°, I 100; 2θ = 29.64°, I 28; 2θ = 30.86°, I 80; 2θ = 34.31°, I 47; 2θ = 41.59°, I 29; 2θ = 43.40°, I 30; 2θ = 43.64°, I 26; 2θ = 45.02°, I 26; 2θ = 53.15°, I 22; 2θ = 54.25°, I 26; 2θ = 64.31°, I 19

Atomic structure:
Lattice parameters (Å, degrees): 7.107 7.107 10.501 90.00 90.00 147.08
Positions (direct):
Ac 0.096 0.904 0.750
Ac 0.904 0.096 0.250
Pr 0.357 0.643 0.572
Pr 0.357 0.643 0.928
Pr 0.643 0.357 0.072
Pr 0.643 0.357 0.428
Rh 0.000 0.000 0.000
Rh 0.000 0.000 0.500
Rh 0.243 0.757 0.250
Rh 0.757 0.243 0.750

=====

Record 2
# Ac8PrRh4
Computed X-ray diffraction stick pattern, CuKα. Input: a cell relaxed with PBE.
Peak positions follow from Bragg's law for the DFT cell and can differ from measured ones.

The 12 most intense peaks (2θ from 10° to 80°), in order of rising 2θ:
2θ = 25.85°, I 44; 2θ = 26.77°, I 100; 2θ = 27.34°, I 47; 2θ = 27.98°, I 85; 2θ = 29.03°, I 38; 2θ = 33.35°, I 31; 2θ = 37.99°, I 22; 2θ = 41.76°, I 32; 2θ = 43.38°, I 58; 2θ = 45.39°, I 35; 2θ = 53.15°, I 22; 2θ = 69.78°, I 20

Atomic structure:
Lattice parameters (Å, degrees): 10.614 10.614 14.161 130.11 130.11 23.51
Positions (direct):
Ac 0.043 0.043 0.244
Ac 0.301 0.301 0.432
Ac 0.338 0.338 0.167
Ac 0.366 0.366 0.908
Ac 0.634 0.634 0.092
Ac 0.662 0.662 0.833
Ac 0.699 0.699 0.568
Ac 0.957 0.957 0.756
Pr 0.000 0.000 0.500
Rh 0.145 0.145 0.962
Rh 0.331 0.331 0.671
Rh 0.669 0.669 0.329
Rh 0.855 0.855 0.038

=====

Record 3
# Ac7PrRu3
Computed X-ray diffraction stick pattern, CuKα. Input: a cell relaxed with PBE.
Peak positions follow from Bragg's law for the DFT cell and can differ from measured ones.

The 12 most intense peaks (2θ from 10° to 80°), in order of rising 2θ:
2θ = 13.01°, I 9; 2θ = 24.26°, I 9; 2θ = 26.19°, I 16; 2θ = 27.62°, I 100; 2θ = 36.00°, I 32; 2θ = 42.68°, I 29; 2θ = 47.10°, I 25; 2θ = 50.77°, I 16; 2θ = 51.59°, I 18; 2θ = 65.43°, I 9; 2θ = 69.12°, I 15; 2θ = 71.07°, I 12

Atomic structure:
Lattice parameters (Å, degrees): 8.474 8.474 6.805 90.00 90.00 120.00
Positions (direct):
Ac 0.000 0.000 0.000
Ac 0.164 0.328 0.530
Ac 0.164 0.836 0.530
Ac 0.504 0.008 0.008
Ac 0.504 0.496 0.008
Ac 0.672 0.836 0.530
Ac 0.992 0.496 0.008
Pr 0.667 0.333 0.542
Ru 0.335 0.167 0.767
Ru 0.833 0.167 0.767
Ru 0.833 0.665 0.767

=====

Record 4
# Ac3Pr2S8
Computed X-ray diffraction stick pattern, CuKα. Input: a cell relaxed with PBE.
Peak positions follow from Bragg's law for the DFT cell and can differ from measured ones.

The 12 most intense peaks (2θ from 10° to 80°), in order of rising 2θ:
2θ = 13.06°, I 54; 2θ = 14.69°, I 36; 2θ = 19.69°, I 74; 2θ = 21.79°, I 86; 2θ = 24.58°, I 100; 2θ = 25.47°, I 73; 2θ = 26.47°, I 37; 2θ = 32.37°, I 76; 2θ = 33.84°, I 39; 2θ = 38.86°, I 33; 2θ = 39.90°, I 67; 2θ = 42.96°, I 62

Atomic structure:
Lattice parameters (Å, degrees): 8.473 8.473 7.255 108.71 108.71 60.87
Positions (direct):
Ac 0.000 0.000 0.000
Ac 0.266 0.734 0.500
Ac 0.734 0.266 0.500
Pr 0.268 0.268 0.852
Pr 0.732 0.732 0.148
S 0.097 0.641 0.081
S 0.120 0.120 0.447
S 0.359 0.903 0.919
S 0.384 0.384 0.616
S 0.616 0.616 0.384
S 0.641 0.097 0.081
S 0.880 0.880 0.553
S 0.903 0.359 0.919

=====

Record 5
# Ac4PrS5
Computed X-ray diffraction stick pattern, CuKα. Input: a cell relaxed with PBE.
Peak positions follow from Bragg's law for the DFT cell and can differ from measured ones.

The 12 most intense peaks (2θ from 10° to 80°), in order of rising 2θ:
2θ = 13.12°, I 1; 2θ = 17.37°, I 2; 2θ = 25.56°, I 97; 2θ = 29.60°, I 100; 2θ = 42.35°, I 76; 2θ = 50.12°, I 51; 2θ = 52.51°, I 27; 2θ = 61.37°, I 4; 2θ = 61.47°, I 8; 2θ = 67.65°, I 21; 2θ = 69.66°, I 35; 2θ = 77.46°, I 26

Atomic structure:
Lattice parameters (Å, degrees): 7.392 7.392 7.392 99.62 99.62 131.75
Positions (direct):
Ac 0.099 0.299 0.399
Ac 0.299 0.901 0.200
Ac 0.701 0.099 0.800
Ac 0.901 0.701 0.601
Pr 0.500 0.500 0.000
S 0.000 0.000 0.000
S 0.205 0.599 0.804
S 0.401 0.205 0.606
S 0.599 0.795 0.394
S 0.795 0.401 0.196

=====

Record 6
# Ac2Pr3S8
Computed X-ray diffraction stick pattern, CuKα. Input: a cell relaxed with PBE.
Peak positions follow from Bragg's law for the DFT cell and can differ from measured ones.

The 12 most intense peaks (2θ from 10° to 80°), in order of rising 2θ:
2θ = 17.51°, I 14; 2θ = 21.43°, I 47; 2θ = 22.12°, I 49; 2θ = 24.66°, I 18; 2θ = 25.46°, I 33; 2θ = 27.59°, I 16; 2θ = 35.45°, I 23; 2θ = 35.74°, I 100; 2θ = 37.16°, I 25; 2θ = 43.30°, I 15; 2θ = 52.30°, I 15; 2θ = 66.08°, I 16

Atomic structure:
Lattice parameters (Å, degrees): 8.818 8.818 4.838 90.00 90.00 109.89
Positions (direct):
Ac 0.236 0.764 0.000
Ac 0.764 0.236 0.000
Pr 0.213 0.213 0.500
Pr 0.500 0.500 0.000
Pr 0.787 0.787 0.500
S 0.122 0.878 0.500
S 0.145 0.385 0.000
S 0.385 0.145 0.000
S 0.385 0.615 0.500
S 0.615 0.385 0.500
S 0.615 0.855 0.000
S 0.855 0.615 0.000
S 0.878 0.122 0.500